CrWF6: theoretical powder XRD pattern (Cu Kα X-rays), based on a cell relaxed with PBE+U.
Neutral-atom scattering factors, no anomalous dispersion.

a b c (Å): 5.6080 5.6080 5.6080
angles (deg): 55.69 55.69 55.69
Atoms (fractional coordinates):
Cr: 0.0000 0.0000 0.0000
W: 0.5000 0.5000 0.5000
F: 0.1091 0.3679 0.7623
F: 0.2377 0.8909 0.6321
F: 0.3679 0.7623 0.1091
F: 0.6321 0.2377 0.8909
F: 0.7623 0.1091 0.3679
F: 0.8909 0.6321 0.2377

Top 12 peaks for 2θ = 10–90°, sorted by position:
Position (°2θ), I_rel
18.8, 12
20.6, 29
23.3, 100
32.1, 34
34.2, 19
39.3, 21
41.8, 14
47.6, 16
52.2, 28
55.1, 16
59.9, 13
61.3, 12